# 1
Computed PXRD pattern
Compound: Li2CuP4O12
Radiation: Cu Kα, 1.54184 Å
Structure: a structure optimized by DFT (GGA-PBE)
Neutral-atom scattering factors, no anomalous dispersion.

Principal peaks in the range 5 to 70 degrees two-theta, sorted by position:
hkl 0 1 1, 15.76°, intensity 75; hkl 1 1 0, 16.69°, intensity 100; hkl 1 2 -1, 23.40°, intensity 89; hkl 1 1 1, 24.73°, intensity 47; hkl 2 1 -1, 25.22°, intensity 96; hkl 0 1 2, 26.74°, intensity 34; hkl 1 2 -2, 28.97°, intensity 77; hkl 1 0 2, 34.21°, intensity 30

Crystal structure
a = 7.6932 Å, b = 9.0590 Å, c = 8.4153 Å
α = 90.00°, β = 121.55°, γ = 90.00°
Positions (direct):
Li 0.2389 0.1961 0.3546
Li 0.2389 0.3039 0.8546
Li 0.7611 0.6961 0.1454
Li 0.7611 0.8039 0.6454
Cu 0.0000 0.0000 0.5000
Cu 0.0000 0.5000 0.0000
P 0.1873 0.7137 0.3655
P 0.1873 0.7863 0.8655
P 0.4359 0.5850 0.7586
P 0.4359 0.9150 0.2586
P 0.5641 0.0850 0.7414
P 0.5641 0.4150 0.2414
P 0.8127 0.2137 0.1345
P 0.8127 0.2863 0.6345
O 0.0336 0.6137 0.2111
O 0.0336 0.8863 0.7111
O 0.0776 0.6732 0.9101
O 0.0776 0.8268 0.4101
O 0.3394 0.1154 0.6431
O 0.3394 0.3846 0.1431
O 0.3391 0.6129 0.5372
O 0.3391 0.8871 0.0372
O 0.3419 0.7235 0.8122
O 0.3419 0.7765 0.3122
O 0.3555 0.0583 0.2771
O 0.3555 0.4417 0.7771
O 0.6445 0.5583 0.2229
O 0.6445 0.9417 0.7229
O 0.6581 0.2235 0.6878
O 0.6581 0.2765 0.1878
O 0.6609 0.1129 0.9628
O 0.6609 0.3871 0.4628
O 0.6606 0.6154 0.8569
O 0.6606 0.8846 0.3569
O 0.9224 0.1732 0.5899
O 0.9224 0.3268 0.0899
O 0.9664 0.1137 0.2889
O 0.9664 0.3863 0.7889



# 2
Computed PXRD pattern
Compound: DyF3
Radiation: Cu Kα, 1.54184 Å
Structure: a structure optimized by DFT (GGA-PBE)
Neutral-atom scattering factors, no anomalous dispersion.

Principal peaks in the range 5 to 70 degrees two-theta, sorted by position:
hkl 1 0 1, 23.43°, intensity 59; hkl 0 2 0, 25.80°, intensity 51; hkl 1 1 1, 26.80°, intensity 100; hkl 2 1 0, 31.49°, intensity 49; hkl 1 2 1, 35.13°, intensity 27; hkl 0 2 2, 46.13°, intensity 54; hkl 2 3 0, 49.20°, intensity 25; hkl 2 1 2, 49.82°, intensity 31

Crystal structure
a = 6.2351 Å, b = 6.9056 Å, c = 4.7859 Å
α = 90.00°, β = 90.00°, γ = 90.00°
Positions (direct):
Dy 0.1343 0.2500 0.0398
Dy 0.3657 0.7500 0.5398
Dy 0.6343 0.2500 0.4602
Dy 0.8657 0.7500 0.9602
F 0.0383 0.7500 0.3670
F 0.1610 0.5632 0.8480
F 0.1610 0.9368 0.8480
F 0.3390 0.0632 0.3480
F 0.3390 0.4368 0.3480
F 0.4617 0.2500 0.8670
F 0.5383 0.7500 0.1330
F 0.6610 0.5632 0.6520
F 0.6610 0.9368 0.6520
F 0.8390 0.0632 0.1520
F 0.8390 0.4368 0.1520
F 0.9617 0.2500 0.6330



# 3
Computed PXRD pattern
Compound: AlGa3N4
Radiation: Cu Kα, 1.54184 Å
Structure: a structure optimized by DFT (GGA-PBE)
Neutral-atom scattering factors, no anomalous dispersion.

Principal peaks in the range 5 to 70 degrees two-theta, sorted by position:
hkl 1 0 0, 19.70°, intensity 9; hkl 1 1 0, 28.00°, intensity 9; hkl 1 1 1, 34.47°, intensity 100; hkl 2 0 0, 40.01°, intensity 30; hkl 2 1 0, 44.98°, intensity 5; hkl 2 1 1, 49.54°, intensity 4; hkl 2 2 0, 57.87°, intensity 43; hkl 3 1 1, 69.13°, intensity 36

Crystal structure
a = 4.5070 Å, b = 4.5070 Å, c = 4.5070 Å
α = 90.00°, β = 90.00°, γ = 90.00°
Positions (direct):
Al 0.0000 0.0000 0.0000
Ga 0.0000 0.5000 0.5000
Ga 0.5000 0.0000 0.5000
Ga 0.5000 0.5000 0.0000
N 0.2444 0.2444 0.2444
N 0.2444 0.7556 0.7556
N 0.7556 0.2444 0.7556
N 0.7556 0.7556 0.2444